Theoretical powder X-ray diffraction pattern of Tl2Cr3F10 for a wavelength of 1.5418 Å, from a structure optimized by DFT (PBE+U).
Lines closer than 0.1° are merged.

Crystal structure
abc: 10.3772 10.3772 7.9532
angles: 112.52 112.52 35.43
Fractional coordinates of all 30 atoms:
Tl (0.1163, 0.1163, 0.2186)
Tl (0.2121, 0.2121, 0.8377)
Tl (0.7879, 0.7879, 0.1623)
Tl (0.8837, 0.8837, 0.7814)
Cr (0.2454, 0.7546, 0.5000)
Cr (0.3155, 0.3155, 0.4843)
Cr (0.4258, 0.4258, 0.0306)
Cr (0.5742, 0.5742, 0.9694)
Cr (0.6845, 0.6845, 0.5157)
Cr (0.7546, 0.2454, 0.5000)
F (0.0000, 0.5000, 0.5000)
F (0.0165, 0.0165, 0.6749)
F (0.1436, 0.5859, 0.0452)
F (0.1664, 0.5992, 0.4745)
F (0.2602, 0.2602, 0.2278)
F (0.3013, 0.6987, 0.0000)
F (0.3688, 0.3688, 0.7607)
F (0.4008, 0.8336, 0.5255)
F (0.4141, 0.8564, 0.9548)
F (0.4795, 0.4795, 0.3083)
F (0.5000, 0.0000, 0.5000)
F (0.5205, 0.5205, 0.6917)
F (0.5859, 0.1436, 0.0452)
F (0.5992, 0.1664, 0.4745)
F (0.6312, 0.6312, 0.2393)
F (0.6987, 0.3013, 0.0000)
F (0.7398, 0.7398, 0.7722)
F (0.8336, 0.4008, 0.5255)
F (0.8564, 0.4141, 0.9548)
F (0.9835, 0.9835, 0.3251)

Largest 10 diffraction maxima, by angle, 10° ≤ 2θ ≤ 80°:
2theta, d/Å, intensity
20.36, 4.363, 21.1
26.70, 3.339, 65.9
26.95, 3.308, 100.0
27.06, 3.295, 55.4
28.26, 3.157, 28.0
34.83, 2.576, 24.1
37.71, 2.385, 28.2
39.53, 2.280, 42.0
49.23, 1.851, 22.1
63.72, 1.460, 21.1